Entry 1:
Starting from the GGA-PBE geometry in the Materials Project, the powder diffraction line list of Li2CuSiO4 was calculated for Cu Ka.

Top 12 peaks for 2θ = 10–80°, by angle:
two_theta, d [Å], Rel. int.
21.8, 4.078, 74
25.7, 3.469, 100
31.2, 2.869, 53
35.6, 2.521, 34
37.6, 2.390, 16
39.1, 2.306, 18
44.8, 2.024, 23
48.0, 1.894, 33
56.3, 1.633, 23
61.2, 1.514, 14
66.3, 1.410, 11
69.2, 1.357, 11

```
data_Li2CuSiO4
_chemical_formula_sum 'Li6 Cu3 Si3 O12'
_cell_length_a 5.0417
_cell_length_b 5.0417
_cell_length_c 11.4213
_cell_angle_alpha 90.00
_cell_angle_beta 90.00
_cell_angle_gamma 120.00
_space_group_name_H-M_alt 'P 31 2 1'
_space_group_IT_number 152
loop_
_space_group_symop_operation_xyz
'x,y,z'
'-y,x-y,z+1/3'
'-x+y,-x,z+2/3'
'y,x,-z'
'x-y,-y,-z+2/3'
'-x,-x+y,-z+1/3'
loop_
_atom_site_label
_atom_site_type_symbol
_atom_site_fract_x
_atom_site_fract_y
_atom_site_fract_z
_atom_site_occupancy
Li1 Li 0.1037 0.4448 0.4194 1
Cu1 Cu 0.0000 0.4498 0.6667 1
Si1 Si 0.0000 0.1904 0.1667 1
O1 O 0.1340 0.4431 0.0591 1
O2 O 0.1411 0.8539 0.4566 1
```

***

Entry 2:
Starting from the GGA-PBE geometry in the Materials Project, the powder diffraction line list of Y2Ge2O7 was calculated for Cu Ka.

Top 12 peaks for 2θ = 10–80°, by angle:
two_theta, d [Å], Rel. int.
26.8, 3.321, 100
28.5, 3.136, 93
29.0, 3.080, 51
29.9, 2.991, 51
32.4, 2.765, 71
33.7, 2.658, 39
41.1, 2.197, 25
48.2, 1.889, 48
52.7, 1.738, 24
52.9, 1.730, 32
53.2, 1.722, 25
61.4, 1.509, 27

```
data_Y2Ge2O7
_chemical_formula_sum 'Y8 Ge8 O28'
_cell_length_a 6.8876
_cell_length_b 6.8876
_cell_length_c 12.5437
_cell_angle_alpha 90.00
_cell_angle_beta 90.00
_cell_angle_gamma 90.00
_space_group_name_H-M_alt 'P 43 21 2'
_space_group_IT_number 96
loop_
_space_group_symop_operation_xyz
'x,y,z'
'-y+1/2,x+1/2,z+3/4'
'-x,-y,z+1/2'
'y+1/2,-x+1/2,z+1/4'
'x+1/2,-y+1/2,-z+1/4'
'-y,-x,-z+1/2'
'-x+1/2,y+1/2,-z+3/4'
'y,x,-z'
loop_
_atom_site_label
_atom_site_type_symbol
_atom_site_fract_x
_atom_site_fract_y
_atom_site_fract_z
_atom_site_occupancy
Y1 Y 0.1241 0.3523 0.3846 1
Ge1 Ge 0.0987 0.1525 0.8696 1
O1 O 0.0307 0.0785 0.6262 1
O2 O 0.0640 0.6618 0.3212 1
O3 O 0.1427 0.3151 0.2047 1
O4 O 0.1964 0.1964 0.0000 1
```